# 1
CsNF: computed powder X-ray diffraction pattern (Cu Ka), based on the PBE geometry in Alexandria.
Neutral-atom scattering factors, no anomalous dispersion.

Top 10 peaks for 2θ = 10–90°, low angle first:
2θ/deg  intensity  (hkl)
22.92  81  1 1 0
24.68  61  1 0 2
25.16  54  2 0 -2
26.57  84  3 0 0
27.64  59  2 1 0
30.27  100  0 1 2
30.40  75  1 1 -2
37.84  36  3 1 -2
43.41  37  3 1 2
44.06  51  4 1 -2

Atomic structure:
Cell lengths 10.243, 4.205, 8.442 Å; angles 90.00, 100.68, 90.00 degrees
Space group P2_1/c (No. 14)
Symmetry-distinct sites (fractional):
Cs  0.155  0.249  0.160
N  0.480  0.062  0.548
F  0.139  0.750  0.407

# 2
CsN3F12: computed powder X-ray diffraction pattern (Cu Ka), based on the PBE geometry in Alexandria.
Neutral-atom scattering factors, no anomalous dispersion.

Top 10 peaks for 2θ = 10–90°, low angle first:
2θ/deg  intensity  (hkl)
12.88  100  0 1 2
14.96  80  1 0 4
21.37  29  0 1 8
22.07  44  1 1 3
24.76  20  2 0 2
24.89  65  1 1 6
26.44  41  0 0 12
32.72  19  1 2 2
37.09  19  1 2 8
39.32  39  3 0 6

Atomic structure:
Cell lengths 8.4395, 8.4395, 40.4451 Å; angles 90.00, 90.00, 120.00 degrees
Space group R3c (No. 161, hexagonal axes)
Symmetry-distinct sites (fractional):
Cs  0.0000  0.0000  0.0000
N  0.0061  0.3271  0.0901
F  0.0017  0.3498  0.1468
F  0.0721  0.4952  0.7340
F  0.0747  0.5072  0.0793
F  0.0811  0.5071  0.4124

# 3
CsN2F4: computed powder X-ray diffraction pattern (Cu Ka), based on the PBE geometry in Alexandria.
Neutral-atom scattering factors, no anomalous dispersion.

Top 10 peaks for 2θ = 10–90°, low angle first:
2θ/deg  intensity  (hkl)
15.15  89  1 1 0
18.52  16  0 2 0
25.96  26  1 1 -1
26.76  25  0 0 1
27.44  22  2 0 -1
30.56  100  2 2 0
32.74  37  0 2 1
33.31  34  2 2 -1
37.54  25  0 4 0
46.66  18  0 4 1

Atomic structure:
Cell lengths 8.145, 9.584, 3.678 Å; angles 90.00, 115.04, 90.00 degrees
Space group C2/m (No. 12)
Symmetry-distinct sites (fractional):
Cs  0.000  0.000  0.000
N  0.075  0.500  0.060
F  0.231  0.255  0.732

# 4
CsS2NO4F2: computed powder X-ray diffraction pattern (Cu Ka), based on the PBE geometry in Alexandria.
Neutral-atom scattering factors, no anomalous dispersion.

Top 10 peaks for 2θ = 10–90°, low angle first:
2θ/deg  intensity  (hkl)
16.62  18  0 0 2
19.49  44  0 1 2
20.29  49  0 2 0
24.60  100  2 1 -2
25.34  34  1 2 -2
25.53  45  2 0 0
27.55  23  1 1 2
29.25  19  1 0 -4
32.86  54  1 2 2
33.28  26  1 3 0

Atomic structure:
Cell lengths 8.074, 8.752, 12.330 Å; angles 90.00, 120.08, 90.00 degrees
Space group P2_1/c (No. 14)
Symmetry-distinct sites (fractional):
Cs  0.227  0.249  0.085
S  0.209  0.601  0.345
S  0.366  0.693  0.042
N  0.384  0.704  0.442
O  0.093  0.536  0.393
O  0.191  0.606  0.993
O  0.274  0.507  0.279
O  0.453  0.120  0.380
F  0.066  0.724  0.242
F  0.349  0.683  0.635

# 5
CsSnN2F: computed powder X-ray diffraction pattern (Cu Ka), based on the PBE geometry in Alexandria.
Neutral-atom scattering factors, no anomalous dispersion.

Top 10 peaks for 2θ = 10–90°, low angle first:
2θ/deg  intensity  (hkl)
27.70  100  1 0 1
29.75  46  1 1 0
36.37  20  0 0 2
42.58  26  2 0 0
47.67  26  1 1 2
51.56  37  2 1 1
57.21  21  2 0 2
60.28  12  1 0 3
76.58  12  2 1 3
81.60  12  3 1 2

Atomic structure:
Cell lengths 4.246, 4.246, 4.940 Å; angles 90.00, 90.00, 90.00 degrees
Space group P4/mmm (No. 123)
Symmetry-distinct sites (fractional):
Cs  0.000  0.000  0.000
Sn  0.500  0.500  0.500
N  0.000  0.500  0.500
F  0.500  0.500  0.000

Which formula does entry 3 have?
CsN2F4